This entry pairs a crystal structure of Li3VFe3O8 with its simulated XRD peak list. Radiation: CuKα. Structure: a PBE+U-relaxed structure.
Intensities are scaled so that the largest is 100.

Most intense lines, 2θ = 5–70°, low angle first:
index	2theta	d/Å	I_rel
0 0 2	18.5	4.804	56
0 2 1	19.7	4.508	100
1 1 2	25.5	3.498	36
2 0 -2	35.7	2.514	37
2 2 1	36.5	2.464	41
2 2 -3	45.4	1.999	57

Crystal structure
Unit cell a=5.8791 b=10.2359 c=9.6087 alpha=90.00 beta=90.25 gamma=90.00
Space group Cc (No. 9)
Unique sites:
Li1 0.0000 0.0868 0.0000 [4 per cell]
Li2 0.0213 0.4116 0.4985 [4 per cell]
Li3 0.2576 0.1754 0.4992 [4 per cell]
V1 0.2573 0.3347 0.9521 [4 per cell]
Fe1 0.0101 0.0829 0.7306 [4 per cell]
Fe2 0.0131 0.4146 0.2276 [4 per cell]
Fe3 0.2578 0.1691 0.2285 [4 per cell]
O1 0.0152 0.0836 0.3511 [4 per cell]
O2 0.0202 0.4130 0.8506 [4 per cell]
O3 0.0370 0.2589 0.0950 [4 per cell]
O4 0.2618 0.0006 0.1197 [4 per cell]
O5 0.2622 0.1650 0.8504 [4 per cell]
O6 0.2617 0.3341 0.3460 [4 per cell]
O7 0.2617 0.4817 0.0954 [4 per cell]
O8 0.4786 0.2611 0.0934 [4 per cell]


This entry pairs a crystal structure of Li3VFe3O8 with its simulated XRD peak list. Radiation: CuKα. Structure: a PBE+U-relaxed structure.
Intensities are scaled so that the largest is 100.

Most intense lines, 2θ = 5–70°, low angle first:
index	2theta	d/Å	I_rel
0 0 2	18.4	4.811	56
1 -1 1	19.7	4.515	100
2 0 1	36.4	2.470	61
0 2 -2	39.9	2.257	45
2 0 3	45.4	1.999	85
2 0 -5	60.2	1.537	46

Crystal structure
Unit cell a=5.8991 b=5.9029 c=9.6218 alpha=90.01 beta=90.05 gamma=119.92
Space group P1 (No. 1)
Unique sites:
Li1 0.0000 0.0000 0.0000 [1 per cell]
Li2 0.9998 0.4731 0.0001 [1 per cell]
Li3 0.3500 0.1744 0.5002 [1 per cell]
Li4 0.3502 0.6491 0.5001 [1 per cell]
Li5 0.5245 0.9989 0.0004 [1 per cell]
Li6 0.8241 0.6490 0.4997 [1 per cell]
V1 0.5106 0.4923 0.0478 [1 per cell]
V2 0.8420 0.1583 0.5478 [1 per cell]
Fe1 0.0079 0.4864 0.2709 [1 per cell]
Fe2 0.0085 0.9957 0.2705 [1 per cell]
Fe3 0.3443 0.1609 0.7700 [1 per cell]
Fe4 0.3451 0.6572 0.7705 [1 per cell]
Fe5 0.5106 0.9927 0.2697 [1 per cell]
Fe6 0.8371 0.6558 0.7707 [1 per cell]
O1 0.0063 0.4852 0.6478 [1 per cell]
O2 0.0062 0.9933 0.6482 [1 per cell]
O3 0.1375 0.3054 0.4040 [1 per cell]
O4 0.1727 0.8233 0.3786 [1 per cell]
O5 0.1736 0.8233 0.8782 [1 per cell]
O6 0.2160 0.3442 0.9060 [1 per cell]
O7 0.3400 0.1569 0.1481 [1 per cell]
O8 0.3418 0.6556 0.1492 [1 per cell]
O9 0.5083 0.9909 0.6484 [1 per cell]
O10 0.5086 0.4911 0.6536 [1 per cell]
O11 0.6551 0.3414 0.9046 [1 per cell]
O12 0.6557 0.7864 0.9041 [1 per cell]
O13 0.6928 0.3039 0.4049 [1 per cell]
O14 0.6937 0.8640 0.4053 [1 per cell]
O15 0.8340 0.6550 0.1468 [1 per cell]
O16 0.8411 0.1579 0.1537 [1 per cell]